Computed PXRD pattern
Compound: VCoF4
Radiation: Cu Kα X-rays
Structure: DFT lattice parameters and positions (PBE+U)

Structure:
a = 6.815 Å, b = 6.856 Å, c = 3.261 Å
α = 90.00°, β = 90.00°, γ = 90.00°
Space group Cmmm (No. 65)
Symmetry-distinct sites (fractional):
V1 0.000 0.000 0.000 x2
Co1 0.000 0.500 0.500 x2
F1 0.000 0.310 0.000 x4
F2 0.200 0.000 0.500 x4

Most intense lines, 2θ = 10–80°, sorted by position:
d = 3.428 Å, 25.99 deg, I = 100
d = 3.407 Å, 26.15 deg, I = 93
d = 2.703 Å, 33.14 deg, I = 99
d = 2.363 Å, 38.09 deg, I = 29
d = 2.356 Å, 38.20 deg, I = 16
d = 1.805 Å, 50.58 deg, I = 68
d = 1.799 Å, 50.76 deg, I = 62
d = 1.714 Å, 53.46 deg, I = 18
d = 1.704 Å, 53.81 deg, I = 20
d = 1.631 Å, 56.43 deg, I = 22
d = 1.472 Å, 63.18 deg, I = 26
d = 1.444 Å, 64.52 deg, I = 49